Simulated powder X-ray diffraction pattern
Compound: Zr2ZnAg2F14
Radiation: Cu Kα
Structure: DFT lattice parameters and positions (PBE)
Neutral-atom scattering factors, no anomalous dispersion.

Crystal structure
Unit cell a=5.6104 b=5.6104 c=9.4306 alpha=90.75 beta=90.75 gamma=73.56
Sites, in units of the cell vectors:
Zr1 0.1157 0.1157 0.1981
Zr2 0.8843 0.8843 0.8019
Zn1 0.5000 0.5000 0.0000
Ag1 0.3075 0.3075 0.6156
Ag2 0.6925 0.6925 0.3844
F1 0.0000 0.0000 0.0000
F2 0.0038 0.6398 0.6254
F3 0.0948 0.0948 0.7234
F4 0.1798 0.5921 0.8760
F5 0.3350 0.3350 0.1446
F6 0.3602 0.9962 0.3746
F7 0.4079 0.8202 0.1240
F8 0.5000 0.5000 0.5000
F9 0.5921 0.1798 0.8760
F10 0.6398 0.0038 0.6254
F11 0.6650 0.6650 0.8554
F12 0.8202 0.4079 0.1240
F13 0.9052 0.9052 0.2766
F14 0.9962 0.3602 0.3746

The 10 most intense peaks (2θ = 15–90°), low angle first:
2θ (°)	I (rel.)
21.8	85.9
25.2	100.0
26.5	41.0
32.9	22.3
34.3	18.0
34.6	15.7
43.7	14.0
44.4	18.9
46.1	30.9
50.7	14.5